Simulated powder XRD pattern
Compound: DyHoTm2Cd2
Radiation: Cu Kα (λ = 1.5418 Å)
Structure: a crystal structure in OQMD, relaxed with PBE
Neutral-atom scattering factors, no anomalous dispersion.

abc: 5.3580 8.6438 8.6438
angles: 24.04 90.00 90.00
Fractional coordinates of all 6 atoms:
Dy: 0.0000 0.0000 0.0000
Ho: 0.5000 0.8204 0.8204
Tm: 0.0000 0.6848 0.6848
Tm: 0.5000 0.1360 0.1360
Cd: 0.0000 0.3413 0.3413
Cd: 0.5000 0.4788 0.4788

Main lines, low angle first (10 to 80 degrees two-theta):
2θ (°)  I/Imax
31.75  214
33.45  289
33.96  1000
36.01  130
46.79  145
50.72  89
57.99  83
60.12  191
62.13  96
71.47  81

Simulated powder XRD pattern
Compound: Dy2HoTmCd2
Radiation: Cu Kα (λ = 1.5418 Å)
Structure: a crystal structure in OQMD, relaxed with PBE
Neutral-atom scattering factors, no anomalous dispersion.

abc: 5.3626 8.6585 8.6585
angles: 24.29 90.00 90.00
Fractional coordinates of all 6 atoms:
Dy: 0.0000 0.0000 0.0000
Dy: 0.5000 0.1791 0.1791
Ho: 0.0000 0.3146 0.3146
Tm: 0.5000 0.8649 0.8649
Cd: 0.0000 0.6569 0.6569
Cd: 0.5000 0.5211 0.5211

Main lines, low angle first (10 to 80 degrees two-theta):
2θ (°)  I/Imax
31.71  206
33.42  287
33.72  1000
35.97  133
46.74  140
50.08  93
57.77  92
59.93  189
61.55  98
70.91  80

Simulated powder XRD pattern
Compound: Dy3Cd4In2
Radiation: Cu Kα (λ = 1.5418 Å)
Structure: a crystal structure in OQMD, relaxed with PBE
Neutral-atom scattering factors, no anomalous dispersion.

abc: 6.0444 6.0444 9.2809
angles: 115.73 115.73 48.13
Fractional coordinates of all 9 atoms:
Dy: 0.0000 0.0000 0.0000
Dy: 0.3342 0.3342 0.3298
Dy: 0.6658 0.6658 0.6702
Cd: 0.0743 0.0743 0.4100
Cd: 0.2932 0.2932 0.9638
Cd: 0.7068 0.7068 0.0362
Cd: 0.9257 0.9257 0.5900
In: 0.3911 0.3911 0.7261
In: 0.6089 0.6089 0.2739

Main lines, low angle first (10 to 80 degrees two-theta):
2θ (°)  I/Imax
32.97  951
33.11  920
36.34  1000
36.45  498
49.92  182
50.06  295
63.45  373
65.07  152
65.33  233
65.50  321

Simulated powder XRD pattern
Compound: NdDy2Cd4In2
Radiation: Cu Kα (λ = 1.5418 Å)
Structure: a crystal structure in OQMD, relaxed with PBE
Neutral-atom scattering factors, no anomalous dispersion.

abc: 4.6493 7.5583 7.5583
angles: 120.67 90.00 90.00
Fractional coordinates of all 9 atoms:
Nd: 0.0000 0.0000 0.0000
Dy: 0.0000 0.4234 0.8496
Dy: 0.0000 0.8496 0.4234
Cd: 0.0000 0.4327 0.4327
Cd: 0.5000 0.1842 0.4253
Cd: 0.5000 0.4253 0.1842
Cd: 0.5000 0.6691 0.6691
In: 0.5000 0.0934 0.7548
In: 0.5000 0.7548 0.0934

Main lines, low angle first (10 to 80 degrees two-theta):
2θ (°)  I/Imax
30.48  715
30.67  399
33.41  478
33.64  1000
36.24  223
36.41  210
38.73  477
41.26  199
41.67  262
54.10  229

Simulated powder XRD pattern
Compound: Tb2DyCd3Ir2Pt
Radiation: Cu Kα (λ = 1.5418 Å)
Structure: a crystal structure in OQMD, relaxed with PBE
Neutral-atom scattering factors, no anomalous dispersion.

abc: 3.9478 7.5042 7.5042
angles: 119.99 90.00 90.00
Fractional coordinates of all 9 atoms:
Tb: 0.0000 0.2036 0.7964
Tb: 0.0000 0.7964 0.2036
Dy: 0.0000 0.3896 0.3896
Cd: 0.5000 0.0552 0.0552
Cd: 0.5000 0.5375 0.7964
Cd: 0.5000 0.7964 0.5375
Ir: 0.5000 0.1306 0.4628
Ir: 0.5000 0.4628 0.1306
Pt: 0.0000 0.7958 0.7958

Main lines, low angle first (10 to 80 degrees two-theta):
2θ (°)  I/Imax
23.71  147
32.93  799
35.79  1000
36.58  319
41.69  479
43.38  378
45.98  264
60.14  146
63.79  273
67.10  335

Simulated powder XRD pattern
Compound: KDyCdTe3
Radiation: Cu Kα (λ = 1.5418 Å)
Structure: a crystal structure in OQMD, relaxed with PBE
Neutral-atom scattering factors, no anomalous dispersion.

abc: 11.8129 4.4868 15.8001
angles: 90.00 90.00 90.00
Fractional coordinates of all 24 atoms:
K: 0.2312 0.2500 0.0071
K: 0.2688 0.7500 0.5071
K: 0.7312 0.2500 0.4929
K: 0.7688 0.7500 0.9929
Dy: 0.0152 0.7500 0.7463
Dy: 0.4848 0.2500 0.2463
Dy: 0.5152 0.7500 0.7537
Dy: 0.9848 0.2500 0.2537
Cd: 0.2380 0.7500 0.2147
Cd: 0.2620 0.2500 0.7147
Cd: 0.7380 0.7500 0.2853
Cd: 0.7620 0.2500 0.7853
Te: 0.0349 0.7500 0.1219
Te: 0.0655 0.2500 0.6146
Te: 0.2357 0.2500 0.3277
Te: 0.2643 0.7500 0.8277
Te: 0.4345 0.7500 0.1146
Te: 0.4651 0.2500 0.6219
Te: 0.5349 0.7500 0.3781
Te: 0.5655 0.2500 0.8854
Te: 0.7357 0.2500 0.1723
Te: 0.7643 0.7500 0.6723
Te: 0.9345 0.7500 0.3854
Te: 0.9651 0.2500 0.8781

Main lines, low angle first (10 to 80 degrees two-theta):
2θ (°)  I/Imax
11.20  859
25.27  218
26.09  255
27.18  520
30.24  1000
32.36  151
38.02  435
40.20  256
41.83  261
46.75  160

Simulated powder XRD pattern
Compound: KDyCdTe3
Radiation: Cu Kα (λ = 1.5418 Å)
Structure: a crystal structure in OQMD, relaxed with PBE
Neutral-atom scattering factors, no anomalous dispersion.

abc: 15.9594 4.4884 11.9648
angles: 90.00 90.00 90.00
Fractional coordinates of all 24 atoms:
K: 0.2341 0.2500 0.0494
K: 0.2659 0.7500 0.5494
K: 0.7341 0.2500 0.4506
K: 0.7659 0.7500 0.9506
Dy: 0.0230 0.2500 0.3490
Dy: 0.4770 0.7500 0.8490
Dy: 0.5230 0.2500 0.1510
Dy: 0.9770 0.7500 0.6510
Cd: 0.0167 0.7500 0.0999
Cd: 0.4833 0.2500 0.5999
Cd: 0.5167 0.7500 0.4001
Cd: 0.9833 0.2500 0.9001
Te: 0.0953 0.7500 0.8751
Te: 0.0985 0.2500 0.5802
Te: 0.1436 0.7500 0.2626
Te: 0.3564 0.2500 0.7626
Te: 0.4015 0.7500 0.0802
Te: 0.4047 0.2500 0.3751
Te: 0.5953 0.7500 0.6249
Te: 0.5985 0.2500 0.9198
Te: 0.6436 0.7500 0.2374
Te: 0.8564 0.2500 0.7374
Te: 0.9015 0.7500 0.4198
Te: 0.9047 0.2500 0.1249

Main lines, low angle first (10 to 80 degrees two-theta):
2θ (°)  I/Imax
11.09  1000
24.96  302
27.04  562
27.24  179
30.03  535
31.98  286
37.71  500
40.18  286
42.83  157
46.13  126

Simulated powder XRD pattern
Compound: LiDyCdO3
Radiation: Cu Kα (λ = 1.5418 Å)
Structure: a crystal structure in OQMD, relaxed with PBE
Neutral-atom scattering factors, no anomalous dispersion.

abc: 7.3024 7.3024 6.5752
angles: 102.02 102.02 26.09
Fractional coordinates of all 12 atoms:
Li: 0.0000 0.0000 0.0000
Li: 0.6365 0.6365 0.2587
Dy: 0.3187 0.3187 0.1308
Dy: 0.3188 0.3188 0.6310
Cd: 0.0017 0.0017 0.4513
Cd: 0.6360 0.6360 0.8090
O: 0.1561 0.1561 0.0656
O: 0.1614 0.1614 0.5675
O: 0.4762 0.4762 0.6933
O: 0.4815 0.4815 0.1946
O: 0.8144 0.8144 0.3760
O: 0.8233 0.8233 0.8856

Main lines, low angle first (10 to 80 degrees two-theta):
2θ (°)  I/Imax
12.74  469
16.67  421
27.80  388
31.79  289
33.14  385
33.36  718
33.71  312
38.68  1000
38.88  439
55.62  313

Simulated powder XRD pattern
Compound: NaDyCdSe3
Radiation: Cu Kα (λ = 1.5418 Å)
Structure: a crystal structure in OQMD, relaxed with PBE
Neutral-atom scattering factors, no anomalous dispersion.

abc: 8.0639 4.2414 17.4033
angles: 90.00 90.00 90.00
Fractional coordinates of all 24 atoms:
Na: 0.0633 0.2500 0.1953
Na: 0.4367 0.7500 0.6953
Na: 0.5633 0.2500 0.3047
Na: 0.9367 0.7500 0.8047
Dy: 0.2298 0.2500 0.9625
Dy: 0.2702 0.7500 0.4625
Dy: 0.7298 0.2500 0.5375
Dy: 0.7702 0.7500 0.0375
Cd: 0.0697 0.2500 0.6632
Cd: 0.4303 0.7500 0.1632
Cd: 0.5697 0.2500 0.8368
Cd: 0.9303 0.7500 0.3368
Se: 0.0111 0.2500 0.4249
Se: 0.1255 0.7500 0.0640
Se: 0.2270 0.2500 0.7936
Se: 0.2730 0.7500 0.2936
Se: 0.3745 0.2500 0.5640
Se: 0.4889 0.7500 0.9249
Se: 0.5111 0.2500 0.0751
Se: 0.6255 0.7500 0.4360
Se: 0.7270 0.2500 0.7064
Se: 0.7730 0.7500 0.2064
Se: 0.8745 0.2500 0.9360
Se: 0.9889 0.7500 0.5751

Main lines, low angle first (10 to 80 degrees two-theta):
2θ (°)  I/Imax
10.17  608
21.56  730
24.27  378
30.22  329
31.48  1000
34.94  375
40.05  671
40.30  654
42.13  326
42.64  539

Simulated powder XRD pattern
Compound: Dy2Cd3Pb3
Radiation: Cu Kα (λ = 1.5418 Å)
Structure: a crystal structure in OQMD, relaxed with PBE
Neutral-atom scattering factors, no anomalous dispersion.

abc: 4.6554 4.9206 9.0505
angles: 90.00 90.00 90.00
Fractional coordinates of all 8 atoms:
Dy: 0.0000 0.0000 0.2488
Dy: 0.0000 0.0000 0.7512
Cd: 0.0000 0.5000 0.5000
Cd: 0.5000 0.5000 0.2623
Cd: 0.5000 0.5000 0.7377
Pb: 0.0000 0.5000 0.0000
Pb: 0.5000 0.0000 0.0000
Pb: 0.5000 0.0000 0.5000

Main lines, low angle first (10 to 80 degrees two-theta):
2θ (°)  I/Imax
33.07  1000
36.52  193
38.68  165
39.84  149
54.25  123
55.15  116
63.56  153
66.47  134
68.06  121
69.39  116

Simulated powder XRD pattern
Compound: Dy2YCd4Si4
Radiation: Cu Kα (λ = 1.5418 Å)
Structure: a crystal structure in OQMD, relaxed with PBE
Neutral-atom scattering factors, no anomalous dispersion.

abc: 13.6031 13.6031 13.6031
angles: 162.77 161.79 25.17
Fractional coordinates of all 11 atoms:
Dy: 0.1418 0.1418 0.0000
Dy: 0.8582 0.8582 0.0000
Y: 0.5000 0.0000 0.5000
Cd: 0.2485 0.7485 0.5000
Cd: 0.4086 0.4086 0.0000
Cd: 0.5914 0.5914 0.0000
Cd: 0.7515 0.2515 0.5000
Si: 0.0435 0.5435 0.5000
Si: 0.3153 0.3153 0.0000
Si: 0.6847 0.6847 0.0000
Si: 0.9565 0.4565 0.5000

Main lines, low angle first (10 to 80 degrees two-theta):
2θ (°)  I/Imax
22.97  125
26.86  117
32.24  313
33.14  1000
41.96  198
42.95  217
44.47  167
53.89  143
62.79  116
63.55  132

Simulated powder XRD pattern
Compound: Dy2Cd3Sn3
Radiation: Cu Kα (λ = 1.5418 Å)
Structure: a crystal structure in OQMD, relaxed with PBE
Neutral-atom scattering factors, no anomalous dispersion.

abc: 4.5913 4.7711 8.8964
angles: 90.00 90.00 90.00
Fractional coordinates of all 8 atoms:
Dy: 0.0000 0.0000 0.2445
Dy: 0.0000 0.0000 0.7555
Cd: 0.0000 0.5000 0.5000
Cd: 0.5000 0.5000 0.2595
Cd: 0.5000 0.5000 0.7405
Sn: 0.0000 0.5000 0.0000
Sn: 0.5000 0.0000 0.0000
Sn: 0.5000 0.0000 0.5000

Main lines, low angle first (10 to 80 degrees two-theta):
2θ (°)  I/Imax
33.77  1000
37.71  186
39.24  167
40.56  149
55.56  121
56.58  112
65.57  146
67.65  133
69.47  119
71.02  114